[1]
Structure and computed PXRD pattern of DyPa (a structure optimized by DFT (GGA-PBE); Cu Ka).
Kinematic intensities with the Lorentz-polarization factor, no thermal factor.

Largest 10 diffraction maxima, low angle first, 2θ from 10° to 90°:
- d = 2.891 Å, 2θ = 30.9°, rel. 30, (0 0 2)
- d = 2.861 Å, 2θ = 31.3°, rel. 24, (1 0 0)
- d = 2.564 Å, 2θ = 35.0°, rel. 100, (1 0 1)
- d = 2.033 Å, 2θ = 44.6°, rel. 19, (1 0 2)
- d = 1.652 Å, 2θ = 55.6°, rel. 18, (1 1 0)
- d = 1.598 Å, 2θ = 57.7°, rel. 24, (1 0 3)
- d = 1.434 Å, 2θ = 65.0°, rel. 22, (1 1 2)
- d = 1.389 Å, 2θ = 67.4°, rel. 15, (2 0 1)
- d = 1.290 Å, 2θ = 73.4°, rel. 4, (1 0 4)
- d = 1.149 Å, 2θ = 84.3°, rel. 9, (2 0 3)

```
data_DyPa
_symmetry_space_group_name_H-M 'P -6 m 2'
_symmetry_Int_Tables_number 187
_symmetry_space_group_name_Hall 'P -6 2'
_cell_length_a 3.3035
_cell_length_b 3.3035
_cell_length_c 5.7814
_cell_angle_alpha 90.00
_cell_angle_beta 90.00
_cell_angle_gamma 120.00
loop_
_atom_site_label
_atom_site_type_symbol
_atom_site_fract_x
_atom_site_fract_y
_atom_site_fract_z
Dy1 Dy 0.0000 0.0000 0.0000
Pa1 Pa 0.6667 0.3333 0.5000
```

[2]
Structure and computed PXRD pattern of Ni21B6Sb2 (a structure optimized by DFT (GGA-PBE); Cu Ka).
Kinematic intensities with the Lorentz-polarization factor, no thermal factor.

Largest 10 diffraction maxima, low angle first, 2θ from 10° to 90°:
- d = 2.366 Å, 2θ = 38.0°, rel. 48, (4 2 0)
- d = 2.160 Å, 2θ = 41.8°, rel. 49, (4 2 2)
- d = 2.036 Å, 2θ = 44.5°, rel. 100, (3 3 3)
- d = 1.870 Å, 2θ = 48.7°, rel. 28, (4 4 0)
- d = 1.788 Å, 2θ = 51.1°, rel. 26, (5 3 1)
- d = 1.673 Å, 2θ = 54.9°, rel. 7, (6 2 0)
- d = 1.595 Å, 2θ = 57.8°, rel. 14, (6 2 2)
- d = 1.283 Å, 2θ = 73.9°, rel. 14, (6 4 4)
- d = 1.247 Å, 2θ = 76.4°, rel. 30, (6 6 0)
- d = 1.222 Å, 2θ = 78.3°, rel. 12, (5 5 5)

```
data_Ni21B6Sb2
_symmetry_space_group_name_H-M 'F m -3 m'
_symmetry_Int_Tables_number 225
_symmetry_space_group_name_Hall '-F 4 2 3'
_cell_length_a 10.580
_cell_length_b 10.580
_cell_length_c 10.580
_cell_angle_alpha 90.00
_cell_angle_beta 90.00
_cell_angle_gamma 90.00
loop_
_atom_site_label
_atom_site_type_symbol
_atom_site_fract_x
_atom_site_fract_y
_atom_site_fract_z
Ni1 Ni 0.000 0.000 0.000
Ni2 Ni 0.000 0.168 0.168
Ni3 Ni 0.116 0.116 0.384
B1 B 0.000 0.000 0.272
Sb1 Sb 0.250 0.250 0.250
```

[3]
Structure and computed PXRD pattern of NaMg6Co (a structure optimized by DFT (GGA-PBE); Cu Ka).
Kinematic intensities with the Lorentz-polarization factor, no thermal factor.

Largest 10 diffraction maxima, low angle first, 2θ from 10° to 90°:
- d = 5.441 Å, 2θ = 16.3°, rel. 19, (0 1 1)
- d = 3.658 Å, 2θ = 24.3°, rel. 13, (1 0 2)
- d = 2.720 Å, 2θ = 32.9°, rel. 14, (0 2 2)
- d = 2.699 Å, 2θ = 33.2°, rel. 19, (0 0 4)
- d = 2.479 Å, 2θ = 36.2°, rel. 35, (2 0 0)
- d = 2.385 Å, 2θ = 37.7°, rel. 100, (1 2 2)
- d = 2.371 Å, 2θ = 38.0°, rel. 26, (1 0 4)
- d = 1.826 Å, 2θ = 50.0°, rel. 11, (2 0 4)
- d = 1.412 Å, 2θ = 66.2°, rel. 17, (3 2 2)
- d = 1.322 Å, 2θ = 71.4°, rel. 10, (2 2 6)

```
data_NaMg6Co
_symmetry_space_group_name_H-M 'A m m 2'
_symmetry_Int_Tables_number 38
_symmetry_space_group_name_Hall 'A 2 -2'
_cell_length_a 4.957
_cell_length_b 6.299
_cell_length_c 10.797
_cell_angle_alpha 90.00
_cell_angle_beta 90.00
_cell_angle_gamma 90.00
loop_
_atom_site_label
_atom_site_type_symbol
_atom_site_fract_x
_atom_site_fract_y
_atom_site_fract_z
Na1 Na 0.000 0.000 0.000
Mg1 Mg 0.000 0.000 0.497
Mg2 Mg 0.000 0.230 0.239
Mg3 Mg 0.500 0.000 0.668
Mg4 Mg 0.500 0.241 0.410
Co1 Co 0.500 0.000 0.204
```

[4]
Structure and computed PXRD pattern of Ba3Fe2N4 (a structure optimized by DFT (GGA-PBE); Cu Ka).
Kinematic intensities with the Lorentz-polarization factor, no thermal factor.

Largest 10 diffraction maxima, low angle first, 2θ from 10° to 90°:
- d = 3.714 Å, 2θ = 24.0°, rel. 28, (3 1 0)
- d = 3.501 Å, 2θ = 25.4°, rel. 20, (0 2 1)
- d = 3.191 Å, 2θ = 28.0°, rel. 62, (3 1 -1)
- d = 2.986 Å, 2θ = 29.9°, rel. 100, (2 2 1)
- d = 2.657 Å, 2θ = 33.7°, rel. 38, (1 1 -2)
- d = 2.493 Å, 2θ = 36.0°, rel. 26, (2 0 2)
- d = 2.363 Å, 2θ = 38.1°, rel. 27, (5 1 0)
- d = 2.246 Å, 2θ = 40.1°, rel. 31, (3 3 -1)
- d = 2.236 Å, 2θ = 40.3°, rel. 24, (0 4 0)
- d = 2.034 Å, 2θ = 44.5°, rel. 18, (1 3 -2)

```
data_Ba3Fe2N4
_symmetry_space_group_name_H-M 'C 1 2/c 1'
_symmetry_Int_Tables_number 15
_symmetry_space_group_name_Hall '-C 2yc'
_cell_length_a 12.277
_cell_length_b 8.945
_cell_length_c 5.639
_cell_angle_alpha 90.00
_cell_angle_beta 93.86
_cell_angle_gamma 90.00
loop_
_atom_site_label
_atom_site_type_symbol
_atom_site_fract_x
_atom_site_fract_y
_atom_site_fract_z
Ba1 Ba 0.000 0.094 0.250
Ba2 Ba 0.130 0.366 0.560
Fe1 Fe 0.215 0.125 0.940
N1 N 0.141 0.299 0.041
N2 N 0.189 0.043 0.633
```

[5]
Structure and computed PXRD pattern of KAlTe2 (a structure optimized by DFT (GGA-PBE); Cu Ka).
Kinematic intensities with the Lorentz-polarization factor, no thermal factor.

Largest 10 diffraction maxima, low angle first, 2θ from 10° to 90°:
- d = 3.509 Å, 2θ = 25.4°, rel. 12, (0 0 2)
- d = 3.419 Å, 2θ = 26.1°, rel. 100, (2 1 1)
- d = 2.768 Å, 2θ = 32.3°, rel. 16, (3 1 0)
- d = 2.738 Å, 2θ = 32.7°, rel. 26, (2 0 2)
- d = 2.173 Å, 2θ = 41.6°, rel. 11, (3 1 2)
- d = 2.032 Å, 2θ = 44.6°, rel. 19, (4 1 1)
- d = 2.008 Å, 2θ = 45.2°, rel. 22, (2 1 3)
- d = 1.857 Å, 2θ = 49.1°, rel. 11, (4 0 2)
- d = 1.779 Å, 2θ = 51.4°, rel. 14, (3 3 2)
- d = 1.584 Å, 2θ = 58.3°, rel. 12, (5 2 1)

```
data_KAlTe2
_symmetry_space_group_name_H-M 'I 4/m c m'
_symmetry_Int_Tables_number 140
_symmetry_space_group_name_Hall '-I 4 2c'
_cell_length_a 8.753
_cell_length_b 8.753
_cell_length_c 7.018
_cell_angle_alpha 90.00
_cell_angle_beta 90.00
_cell_angle_gamma 90.00
loop_
_atom_site_label
_atom_site_type_symbol
_atom_site_fract_x
_atom_site_fract_y
_atom_site_fract_z
K1 K 0.000 0.000 0.250
Al1 Al 0.000 0.500 0.250
Te1 Te 0.163 0.337 0.000
```

[6]
Structure and computed PXRD pattern of Dy11In9Ni4 (a structure optimized by DFT (GGA-PBE); Cu Ka).
Kinematic intensities with the Lorentz-polarization factor, no thermal factor.

Largest 10 diffraction maxima, low angle first, 2θ from 10° to 90°:
- d = 2.865 Å, 2θ = 31.2°, rel. 24, (3 1 1)
- d = 2.703 Å, 2θ = 33.1°, rel. 24, (1 5 1)
- d = 2.679 Å, 2θ = 33.4°, rel. 23, (3 3 1)
- d = 2.562 Å, 2θ = 35.0°, rel. 100, (4 0 1)
- d = 2.550 Å, 2θ = 35.2°, rel. 80, (4 6 0)
- d = 2.529 Å, 2θ = 35.5°, rel. 98, (0 6 1)
- d = 2.393 Å, 2θ = 37.6°, rel. 29, (3 5 1)
- d = 2.375 Å, 2θ = 37.9°, rel. 26, (6 2 0)
- d = 1.796 Å, 2θ = 50.8°, rel. 30, (0 0 2)
- d = 1.469 Å, 2θ = 63.3°, rel. 28, (4 6 2)

```
data_Dy11In9Ni4
_symmetry_space_group_name_H-M 'C m m m'
_symmetry_Int_Tables_number 65
_symmetry_space_group_name_Hall '-C 2 2'
_cell_length_a 14.615
_cell_length_b 21.365
_cell_length_c 3.593
_cell_angle_alpha 90.00
_cell_angle_beta 90.00
_cell_angle_gamma 90.00
loop_
_atom_site_label
_atom_site_type_symbol
_atom_site_fract_x
_atom_site_fract_y
_atom_site_fract_z
Dy1 Dy 0.000 0.000 0.000
Dy2 Dy 0.000 0.159 0.000
Dy3 Dy 0.000 0.375 0.000
Dy4 Dy 0.187 0.500 0.000
Dy5 Dy 0.248 0.170 0.000
In1 In 0.000 0.500 0.500
In2 In 0.105 0.264 0.500
In3 In 0.149 0.071 0.500
Ni1 Ni 0.150 0.400 0.500
```

[7]
Structure and computed PXRD pattern of Ag3Ge (a structure optimized by DFT (GGA-PBE); Cu Ka).
Kinematic intensities with the Lorentz-polarization factor, no thermal factor.

Largest 10 diffraction maxima, low angle first, 2θ from 10° to 90°:
- d = 2.589 Å, 2θ = 34.7°, rel. 25, (1 0 0)
- d = 2.372 Å, 2θ = 37.9°, rel. 25, (0 0 4)
- d = 2.272 Å, 2θ = 39.7°, rel. 100, (1 0 2)
- d = 1.749 Å, 2θ = 52.3°, rel. 15, (1 0 4)
- d = 1.494 Å, 2θ = 62.1°, rel. 17, (1 1 0)
- d = 1.349 Å, 2θ = 69.7°, rel. 18, (1 0 6)
- d = 1.294 Å, 2θ = 73.1°, rel. 3, (2 0 0)
- d = 1.264 Å, 2θ = 75.1°, rel. 19, (1 1 4)
- d = 1.249 Å, 2θ = 76.3°, rel. 14, (2 0 2)
- d = 1.136 Å, 2θ = 85.5°, rel. 3, (2 0 4)

```
data_Ag3Ge
_symmetry_space_group_name_H-M 'P -6 m 2'
_symmetry_Int_Tables_number 187
_symmetry_space_group_name_Hall 'P -6 2'
_cell_length_a 2.9890
_cell_length_b 2.9890
_cell_length_c 9.4875
_cell_angle_alpha 90.00
_cell_angle_beta 90.00
_cell_angle_gamma 120.00
loop_
_atom_site_label
_atom_site_type_symbol
_atom_site_fract_x
_atom_site_fract_y
_atom_site_fract_z
Ag1 Ag 0.0000 0.0000 0.0000
Ag2 Ag 0.3333 0.6667 0.2512
Ge1 Ge 0.0000 0.0000 0.5000
```